Starting from DFT lattice parameters and positions (GGA+U), the powder diffractogram of TiMn2Fe3P6O24 was computed for a wavelength of 1.5418 Å.
Lines closer than 0.1° are merged.

Most intense lines, 10 to 80 degrees two-theta, low angle first:
2θ = 20.6°, rel. 80; 2θ = 24.3°, rel. 100; 2θ = 25.3°, rel. 15; 2θ = 31.9°, rel. 15; 2θ = 33.2°, rel. 70; 2θ = 36.0°, rel. 37; 2θ = 47.6°, rel. 28; 2θ = 49.8°, rel. 27; 2θ = 56.3°, rel. 22; 2θ = 62.9°, rel. 20

```
TiMn2Fe3P6O24
1.0
4.3215 2.4950 6.9128
-4.3215 2.4950 6.9128
0.0000 -4.9901 6.9128
Ti Mn Fe P O
1 2 3 6 24
direct
0.0000 0.0000 0.0000
0.1476 0.1476 0.1476
0.6488 0.6488 0.6488
0.2951 0.2951 0.2951
0.5046 0.5046 0.5046
0.7907 0.7907 0.7907
0.1080 0.6968 0.3961
0.1887 0.5970 0.8978
0.3961 0.1080 0.6968
0.5970 0.8978 0.1887
0.6968 0.3961 0.1080
0.8978 0.1887 0.5970
0.0344 0.6392 0.8298
0.0608 0.2024 0.3991
0.0908 0.8990 0.2320
0.1352 0.7598 0.9707
0.1524 0.5442 0.3215
0.2024 0.3991 0.0608
0.2320 0.0908 0.8990
0.2646 0.6619 0.4586
0.3215 0.1524 0.5442
0.3861 0.5880 0.7450
0.3991 0.0608 0.2024
0.4586 0.2646 0.6619
0.5442 0.3215 0.1524
0.5507 0.9097 0.7141
0.5880 0.7450 0.3861
0.6392 0.8298 0.0344
0.6619 0.4586 0.2646
0.7141 0.5507 0.9097
0.7450 0.3861 0.5880
0.7598 0.9707 0.1352
0.8298 0.0344 0.6392
0.8990 0.2320 0.0908
0.9097 0.7141 0.5507
0.9707 0.1352 0.7598
```